For FePO4, DFT lattice parameters and positions (PBE+U) gives the simulated powder X-ray diffraction pattern in this record (CuKα).
Peak positions follow from Bragg's law for the DFT cell and can differ from measured ones.

Atomic structure:
```
48
Lattice="8.951 -2.505 0.000 8.951 2.505 0.000 -7.553 0.000 13.789" Properties=species:S:1:pos:R:3 pbc="T T T"
Fe 4.476 1.253 0.000
Fe 3.149 1.530 7.212
Fe 3.287 1.638 10.342
Fe 3.424 1.530 13.472
Fe 0.699 -1.253 6.895
Fe 6.925 -1.530 0.317
Fe 7.063 -1.638 3.447
Fe 7.201 -1.530 6.578
P 0.270 1.368 8.885
P 5.781 1.032 5.223
P 8.345 1.032 1.672
P 6.303 1.368 11.799
P 4.046 -1.368 1.990
P 2.005 -1.032 12.118
P 4.568 -1.032 8.566
P 10.080 -1.368 4.904
O 5.804 1.890 3.959
O -0.245 1.019 10.201
O 7.229 1.587 0.700
O 1.899 1.266 8.779
O -0.182 0.380 7.673
O 8.322 1.890 2.936
O -2.272 0.235 12.450
O 4.435 1.061 5.912
O 6.897 1.587 6.195
O 3.594 -0.380 0.779
O 1.504 -0.235 5.556
O 9.690 1.061 0.983
O 4.674 1.266 11.904
O 2.376 0.482 11.868
O 4.197 0.482 8.816
O 6.818 1.019 10.483
O 3.532 -1.019 3.306
O 6.152 -0.482 4.973
O 7.973 -0.482 1.921
O 5.675 -1.266 1.885
O 0.659 -1.061 12.807
O 8.845 0.235 8.234
O 6.755 0.380 13.010
O 3.453 -1.587 7.594
O 5.914 -1.061 7.877
O 12.622 -0.235 1.339
O 2.028 -1.890 10.853
O 10.531 -0.380 6.116
O 8.451 -1.266 5.010
O 3.120 -1.587 13.089
O 10.594 -1.019 3.588
O 4.546 -1.890 9.831
```

Top 10 peaks for 15 to 90 degrees two-theta, by angle:
| Position (°2θ) | d [Å] | intensity |
| --- | --- | --- |
| 18.8 | 4.729 | 56 |
| 22.7 | 3.925 | 50 |
| 24.9 | 3.582 | 100 |
| 27.5 | 3.246 | 94 |
| 31.2 | 2.864 | 85 |
| 33.7 | 2.661 | 34 |
| 35.8 | 2.505 | 52 |
| 36.3 | 2.472 | 47 |
| 42.4 | 2.130 | 30 |
| 51.0 | 1.790 | 34 |